Record 1
Structure and simulated powder XRD pattern of Ta2Ti2Nb5 (a structure optimized by DFT (GGA-PBE); Cu Kα (λ = 1.5418 Å)).
Kinematic intensities with the Lorentz-polarization factor, no thermal factor.

Largest 6 diffraction maxima, low angle first, 2θ = 10–90°:
hkl 0 1 -3, d 2.343, intensity 100; hkl 0 2 3, d 2.335, intensity 99; hkl 1 -1 1, d 2.326, intensity 50; hkl 1 0 -2, d 2.318, intensity 48; hkl 0 1 6, d 1.352, intensity 33; hkl 0 5 3, d 1.347, intensity 25

abc: 2.841 7.213 8.107
angles: 79.42 89.54 82.02
Space group P-1 (No. 2)
Symmetry-distinct sites (fractional):
Ta (0.071, 0.328, 0.276)
Ti (0.200, 0.001, 0.834)
Nb (0.300, 0.667, 0.387)
Nb (0.405, 0.334, 0.943)
Nb (0.500, 0.000, 0.500)

---

Record 2
Structure and simulated powder XRD pattern of Li4TlBr5 (a structure optimized by DFT (GGA-PBE); Cu Kα (λ = 1.5418 Å)).
Kinematic intensities with the Lorentz-polarization factor, no thermal factor.

Largest 6 diffraction maxima, low angle first, 2θ = 10–90°:
hkl 1 0 0, d 3.697, intensity 100; hkl 0 1 5, d 3.311, intensity 59; hkl 1 0 6, d 3.176, intensity 48; hkl 0 1 8, d 2.895, intensity 55; hkl 0 1 9, d 2.757, intensity 47; hkl 1 1 0, d 2.134, intensity 73

abc: 4.2689 4.2689 37.2375
angles: 90.00 90.00 120.00
Space group P3m1 (No. 156)
Symmetry-distinct sites (fractional):
Li (0.0000, 0.0000, 0.0000)
Li (0.0000, 0.0000, 0.1771)
Li (0.0000, 0.0000, 0.3549)
Li (0.0000, 0.0000, 0.5322)
Li (0.0000, 0.0000, 0.7659)
Li (0.6667, 0.3333, 0.0882)
Li (0.6667, 0.3333, 0.2658)
Li (0.6667, 0.3333, 0.4437)
Tl (0.6667, 0.3333, 0.6457)
Tl (0.6667, 0.3333, 0.8795)
Br (0.0000, 0.0000, 0.1077)
Br (0.0000, 0.0000, 0.2855)
Br (0.0000, 0.0000, 0.4631)
Br (0.0000, 0.0000, 0.6960)
Br (0.0000, 0.0000, 0.9298)
Br (0.6667, 0.3333, 0.0190)
Br (0.6667, 0.3333, 0.1965)
Br (0.6667, 0.3333, 0.3743)
Br (0.6667, 0.3333, 0.5534)
Br (0.6667, 0.3333, 0.7867)

---

Record 3
Structure and simulated powder XRD pattern of Ba2Ga2Pt (a structure optimized by DFT (GGA-PBE); Cu Kα (λ = 1.5418 Å)).
Kinematic intensities with the Lorentz-polarization factor, no thermal factor.

Largest 6 diffraction maxima, low angle first, 2θ = 10–90°:
hkl 0 0 2, d 7.585, intensity 44; hkl 1 1 1, d 3.093, intensity 100; hkl 1 0 4, d 2.948, intensity 63; hkl 1 1 3, d 2.679, intensity 53; hkl 0 1 5, d 2.475, intensity 56; hkl 2 1 5, d 1.702, intensity 36

abc: 4.686 4.278 15.170
angles: 90.00 90.00 90.00
Space group Amm2 (No. 38)
Symmetry-distinct sites (fractional):
Ba (0.000, 0.000, 0.000)
Ba (0.000, 0.000, 0.246)
Ga (0.500, 0.000, 0.409)
Ga (0.500, 0.000, 0.639)
Pt (0.500, 0.000, 0.820)

---

Record 4
Structure and simulated powder XRD pattern of Ho4Er3ScSe8 (a structure optimized by DFT (GGA-PBE); Cu Kα (λ = 1.5418 Å)).
Kinematic intensities with the Lorentz-polarization factor, no thermal factor.

Largest 6 diffraction maxima, low angle first, 2θ = 10–90°:
hkl 0 0 6, d 3.290, intensity 17; hkl 0 2 4, d 2.849, intensity 100; hkl 2 2 0, d 2.015, intensity 74; hkl 4 0 4, d 1.645, intensity 26; hkl 2 4 4, d 1.274, intensity 33; hkl 4 2 8, d 1.163, intensity 19

abc: 8.0559 8.0559 19.7591
angles: 90.00 90.00 120.00
Space group R-3m (No. 166, hexagonal axes)
Symmetry-distinct sites (fractional):
Ho (0.0000, 0.0000, 0.0000)
Ho (0.0000, 0.5000, 0.0000)
Er (0.0000, 0.5000, 0.5000)
Sc (0.0000, 0.0000, 0.5000)
Se (0.0000, 0.0000, 0.2494)
Se (0.0051, 0.5026, 0.2481)